Structure and computed powder diffraction line list of SmSc8Sn6 (a structure optimized by DFT (GGA-PBE); Cu Kα X-rays).

Atomic structure:
```
15
Lattice="4.309 2.488 6.162 -4.309 2.488 6.162 0.000 -4.975 6.162" Properties=species:S:1:pos:R:3 pbc="T T T"
Sm 0.000 0.000 0.000
Sc -2.887 0.034 8.118
Sc -1.473 -2.483 10.367
Sc 0.000 0.000 6.155
Sc 1.414 -2.517 8.118
Sc -1.414 2.517 10.367
Sc 0.000 0.000 12.331
Sc 1.473 2.483 8.118
Sc 2.887 -0.034 10.367
Sn -1.479 -2.414 7.440
Sn -2.830 0.074 11.046
Sn -1.351 2.488 7.440
Sn 1.351 -2.488 11.046
Sn 2.830 -0.074 7.440
Sn 1.479 2.414 11.046
```

Most intense lines, 10° ≤ 2θ ≤ 90°, low angle first:
6.162 Å, rel. 21
3.531 Å, rel. 63
2.506 Å, rel. 88
2.488 Å, rel. 100
1.765 Å, rel. 30
1.440 Å, rel. 30